This entry pairs a crystal structure of Na2VInF8 with its simulated powder diffraction line list. Radiation: a wavelength of 1.5418 Å. Structure: a PBE+U-relaxed structure.

Structural model:
a = 5.105 Å, b = 5.105 Å, c = 6.629 Å
α = 90.00°, β = 90.00°, γ = 92.34°
Element x y z (fractional)
Na: 0.000 0.000 0.243
Na: 0.000 0.000 0.757
V: 0.500 0.500 0.000
In: 0.500 0.500 0.500
F: 0.212 0.212 0.500
F: 0.229 0.229 0.000
F: 0.323 0.677 0.236
F: 0.323 0.677 0.764
F: 0.677 0.323 0.236
F: 0.677 0.323 0.764
F: 0.771 0.771 0.000
F: 0.788 0.788 0.500

Most intense lines, 2θ = 10–90°, by intensity:
2θ (°), Rel. int.
17.39, 100
24.17, 72
32.21, 61
25.19, 52
47.87, 52
36.47, 47
61.29, 41
49.01, 32
40.17, 22
21.99, 21
51.71, 16
55.44, 14